For MnBi2Se4, a PBE-relaxed structure gives the computed X-ray diffraction stick pattern in this record (copper Kα).

Principal peaks in the range 10° ≤ 2θ ≤ 90°, by angle:
- 2θ 14.71, d 6.024, I = 44
- 2θ 18.35, d 4.835, I = 34
- 2θ 23.24, d 3.828, I = 40
- 2θ 24.63, d 3.614, I = 36
- 2θ 29.82, d 2.996, I = 79
- 2θ 31.20, d 2.867, I = 100
- 2θ 33.72, d 2.658, I = 43
- 2θ 44.21, d 2.049, I = 36

```
data_MnBi2Se4
_chemical_formula_sum 'Mn4 Bi8 Se16'
_cell_length_a 13.3419
_cell_length_b 4.0976
_cell_length_c 15.5036
_cell_angle_alpha 90.00
_cell_angle_beta 115.24
_cell_angle_gamma 90.00
_symmetry_space_group_name_H-M 'C 1 2/m 1'
_symmetry_Int_Tables_number 12
loop_
_symmetry_equiv_pos_as_xyz
'x,y,z'
'-x,-y,-z'
'-x,y,-z'
'x,-y,z'
'x+1/2,y+1/2,z'
'-x+1/2,-y+1/2,-z'
'-x+1/2,y+1/2,-z'
'x+1/2,-y+1/2,z'
loop_
_atom_site_label
_atom_site_type_symbol
_atom_site_fract_x
_atom_site_fract_y
_atom_site_fract_z
Mn1 Mn 0.0000 0.0000 0.0000
Mn2 Mn 0.0000 0.0000 0.5000
Bi1 Bi 0.1494 0.5000 0.3628
Bi2 Bi 0.2203 0.0000 0.8716
Se1 Se 0.0132 0.0000 0.6719
Se2 Se 0.1003 0.5000 0.9457
Se3 Se 0.1564 0.5000 0.5444
Se4 Se 0.1626 0.0000 0.1763
```


For LiGaHg2Cl4, a PBE-relaxed structure gives the computed X-ray diffraction stick pattern in this record (copper Kα).

Principal peaks in the range 10° ≤ 2θ ≤ 90°, by angle:
- 2θ 11.07, d 7.990, I = 24
- 2θ 17.96, d 4.938, I = 100
- 2θ 21.87, d 4.064, I = 57
- 2θ 25.22, d 3.532, I = 49
- 2θ 26.99, d 3.304, I = 69
- 2θ 32.12, d 2.787, I = 29
- 2θ 34.08, d 2.631, I = 23
- 2θ 44.37, d 2.041, I = 22

```
data_LiGaHg2Cl4
_chemical_formula_sum 'Li8 Ga8 Hg16 Cl32'
_cell_length_a 6.2169
_cell_length_b 12.5753
_cell_length_c 31.9600
_cell_angle_alpha 90.00
_cell_angle_beta 90.00
_cell_angle_gamma 90.00
_symmetry_space_group_name_H-M 'F d d d'
_symmetry_Int_Tables_number 70
loop_
_symmetry_equiv_pos_as_xyz
'x,y,z'
'-x,-y,-z'
'-x+1/4,-y+1/4,z'
'x+1/4,y+1/4,-z'
'x,-y+1/4,-z+1/4'
'-x,y+1/4,z+1/4'
'-x+1/4,y,-z+1/4'
'x+1/4,-y,z+1/4'
'x,y+1/2,z+1/2'
'-x,-y+1/2,-z+1/2'
'-x+1/4,-y+3/4,z+1/2'
'x+1/4,y+3/4,-z+1/2'
'x,-y+3/4,-z+3/4'
'-x,y+3/4,z+3/4'
'-x+1/4,y+1/2,-z+3/4'
'x+1/4,-y+1/2,z+3/4'
'x+1/2,y,z+1/2'
'-x+1/2,-y,-z+1/2'
'-x+3/4,-y+1/4,z+1/2'
'x+3/4,y+1/4,-z+1/2'
'x+1/2,-y+1/4,-z+3/4'
'-x+1/2,y+1/4,z+3/4'
'-x+3/4,y,-z+3/4'
'x+3/4,-y,z+3/4'
'x+1/2,y+1/2,z'
'-x+1/2,-y+1/2,-z'
'-x+3/4,-y+3/4,z'
'x+3/4,y+3/4,-z'
'x+1/2,-y+3/4,-z+1/4'
'-x+1/2,y+3/4,z+1/4'
'-x+3/4,y+1/2,-z+1/4'
'x+3/4,-y+1/2,z+1/4'
loop_
_atom_site_label
_atom_site_type_symbol
_atom_site_fract_x
_atom_site_fract_y
_atom_site_fract_z
Li1 Li 0.1250 0.1250 0.1250
Ga1 Ga 0.1250 0.1250 0.6250
Hg1 Hg 0.1250 0.1250 0.2715
Cl1 Cl 0.0990 0.2791 0.8369
```


For TbZn8Cu4, a PBE-relaxed structure gives the computed X-ray diffraction stick pattern in this record (copper Kα).

Principal peaks in the range 10° ≤ 2θ ≤ 90°, by angle:
- 2θ 28.90, d 3.089, I = 21
- 2θ 35.48, d 2.530, I = 50
- 2θ 40.91, d 2.206, I = 61
- 2θ 41.12, d 2.195, I = 100
- 2θ 41.76, d 2.163, I = 66
- 2θ 46.77, d 1.942, I = 37
- 2θ 74.65, d 1.271, I = 23
- 2θ 75.08, d 1.265, I = 23

```
data_TbZn8Cu4
_chemical_formula_sum 'Tb2 Zn16 Cu8'
_cell_length_a 8.8237
_cell_length_b 8.8237
_cell_length_c 4.9641
_cell_angle_alpha 90.00
_cell_angle_beta 90.00
_cell_angle_gamma 90.00
_symmetry_space_group_name_H-M 'I 4/m m m'
_symmetry_Int_Tables_number 139
_symmetry_space_group_name_Hall '-I 4 2'
loop_
_atom_site_label
_atom_site_type_symbol
_atom_site_fract_x
_atom_site_fract_y
_atom_site_fract_z
Tb1 Tb 0.0000 0.0000 0.0000
Zn1 Zn 0.0000 0.2190 0.5000
Zn2 Zn 0.0000 0.3480 0.0000
Cu1 Cu 0.2500 0.2500 0.2500
```


For Er8Te4AsPt3, a PBE-relaxed structure gives the computed X-ray diffraction stick pattern in this record (copper Kα).

Principal peaks in the range 10° ≤ 2θ ≤ 90°, by angle:
- 2θ 29.91, d 2.988, I = 100
- 2θ 41.96, d 2.153, I = 34
- 2θ 43.63, d 2.075, I = 38
- 2θ 53.80, d 1.704, I = 19
- 2θ 62.14, d 1.494, I = 11
- 2θ 69.27, d 1.356, I = 12
- 2θ 71.67, d 1.317, I = 16
- 2θ 78.98, d 1.212, I = 11

```
data_Er8Te4AsPt3
_chemical_formula_sum 'Er24 Te12 As3 Pt9'
_cell_length_a 8.2983
_cell_length_b 8.2983
_cell_length_c 21.5125
_cell_angle_alpha 90.00
_cell_angle_beta 90.00
_cell_angle_gamma 120.00
_symmetry_space_group_name_H-M 'R -3 m'
_symmetry_Int_Tables_number 166
_symmetry_space_group_name_Hall '-R 3 2"'
loop_
_atom_site_label
_atom_site_type_symbol
_atom_site_fract_x
_atom_site_fract_y
_atom_site_fract_z
Er1 Er 0.0000 0.0000 0.2359
Er2 Er 0.0068 0.5034 0.7619
Te1 Te 0.0000 0.0000 0.0000
Te2 Te 0.0000 0.5000 0.0000
As1 As 0.0000 0.0000 0.5000
Pt1 Pt 0.0000 0.5000 0.5000
```


For Er8Pd3, a PBE-relaxed structure gives the computed X-ray diffraction stick pattern in this record (copper Kα).

Principal peaks in the range 10° ≤ 2θ ≤ 90°, by angle:
- 2θ 29.10, d 3.068, I = 41
- 2θ 30.36, d 2.944, I = 100
- 2θ 31.17, d 2.869, I = 37
- 2θ 32.94, d 2.719, I = 37
- 2θ 43.18, d 2.095, I = 20
- 2θ 44.97, d 2.016, I = 24
- 2θ 50.66, d 1.802, I = 16
- 2θ 52.25, d 1.751, I = 19

```
data_Er8Pd3
_chemical_formula_sum 'Er24 Pd9'
_cell_length_a 9.2634
_cell_length_b 9.2634
_cell_length_c 12.2889
_cell_angle_alpha 90.00
_cell_angle_beta 90.00
_cell_angle_gamma 120.00
_symmetry_space_group_name_H-M 'R -3'
_symmetry_Int_Tables_number 148
_symmetry_space_group_name_Hall '-R 3'
loop_
_atom_site_label
_atom_site_type_symbol
_atom_site_fract_x
_atom_site_fract_y
_atom_site_fract_z
Er1 Er 0.0000 0.0000 0.1499
Er2 Er 0.0481 0.7954 0.6160
Pd1 Pd 0.0000 0.5000 0.5000
```


For Cs2ErAuO4, a PBE-relaxed structure gives the computed X-ray diffraction stick pattern in this record (copper Kα).

Principal peaks in the range 10° ≤ 2θ ≤ 90°, by angle:
- 2θ 14.33, d 6.182, I = 48
- 2θ 15.10, d 5.869, I = 89
- 2θ 19.33, d 4.592, I = 44
- 2θ 24.48, d 3.637, I = 53
- 2θ 25.86, d 3.446, I = 100
- 2θ 31.55, d 2.836, I = 63
- 2θ 37.16, d 2.420, I = 28
- 2θ 45.00, d 2.015, I = 49

```
data_Cs2ErAuO4
_chemical_formula_sum 'Cs16 Er8 Au8 O32'
_cell_length_a 6.1587
_cell_length_b 14.5461
_cell_length_c 23.4748
_cell_angle_alpha 90.00
_cell_angle_beta 90.00
_cell_angle_gamma 90.00
_symmetry_space_group_name_H-M 'F d d d'
_symmetry_Int_Tables_number 70
loop_
_symmetry_equiv_pos_as_xyz
'x,y,z'
'-x,-y,-z'
'-x+1/4,-y+1/4,z'
'x+1/4,y+1/4,-z'
'x,-y+1/4,-z+1/4'
'-x,y+1/4,z+1/4'
'-x+1/4,y,-z+1/4'
'x+1/4,-y,z+1/4'
'x,y+1/2,z+1/2'
'-x,-y+1/2,-z+1/2'
'-x+1/4,-y+3/4,z+1/2'
'x+1/4,y+3/4,-z+1/2'
'x,-y+3/4,-z+3/4'
'-x,y+3/4,z+3/4'
'-x+1/4,y+1/2,-z+3/4'
'x+1/4,-y+1/2,z+3/4'
'x+1/2,y,z+1/2'
'-x+1/2,-y,-z+1/2'
'-x+3/4,-y+1/4,z+1/2'
'x+3/4,y+1/4,-z+1/2'
'x+1/2,-y+1/4,-z+3/4'
'-x+1/2,y+1/4,z+3/4'
'-x+3/4,y,-z+3/4'
'x+3/4,-y,z+3/4'
'x+1/2,y+1/2,z'
'-x+1/2,-y+1/2,-z'
'-x+3/4,-y+3/4,z'
'x+3/4,y+3/4,-z'
'x+1/2,-y+3/4,-z+1/4'
'-x+1/2,y+3/4,z+1/4'
'-x+3/4,y+1/2,-z+1/4'
'x+3/4,-y+1/2,z+1/4'
loop_
_atom_site_label
_atom_site_type_symbol
_atom_site_fract_x
_atom_site_fract_y
_atom_site_fract_z
Cs1 Cs 0.1250 0.1250 0.3099
Er1 Er 0.1250 0.1250 0.1250
Au1 Au 0.1250 0.1250 0.6250
O1 O 0.1146 0.2768 0.8688
```


For YTm2TeO8, a PBE-relaxed structure gives the computed X-ray diffraction stick pattern in this record (copper Kα).

Principal peaks in the range 10° ≤ 2θ ≤ 90°, by angle:
- 2θ 25.13, d 3.544, I = 59
- 2θ 25.47, d 3.497, I = 55
- 2θ 31.78, d 2.816, I = 100
- 2θ 36.09, d 2.489, I = 28
- 2θ 48.64, d 1.872, I = 40
- 2θ 49.03, d 1.858, I = 38
- 2θ 62.20, d 1.492, I = 23
- 2θ 66.40, d 1.408, I = 11

```
data_YTm2TeO8
_chemical_formula_sum 'Y2 Tm4 Te2 O16'
_cell_length_a 6.9933
_cell_length_b 7.0872
_cell_length_c 6.8296
_cell_angle_alpha 90.00
_cell_angle_beta 90.00
_cell_angle_gamma 90.00
_symmetry_space_group_name_H-M 'C m m m'
_symmetry_Int_Tables_number 65
_symmetry_space_group_name_Hall '-C 2 2'
loop_
_atom_site_label
_atom_site_type_symbol
_atom_site_fract_x
_atom_site_fract_y
_atom_site_fract_z
Y1 Y 0.0000 0.0000 0.0000
Tm1 Tm 0.0000 0.5000 0.2527
Te1 Te 0.0000 0.0000 0.5000
O1 O 0.0000 0.1850 0.2876
O2 O 0.1873 0.5000 0.0000
O3 O 0.2210 0.5000 0.5000
```